No. 1
Structure and theoretical X-ray powder pattern of Dy3Ga2Ni7 (a PBE-relaxed structure; a wavelength of 1.5418 Å).
Intensities are scaled so that the largest is 100.

Structural model:
Unit cell a=8.473 b=8.473 c=8.473 alpha=35.37 beta=35.37 gamma=35.37
Element x y z (fractional)
Dy 0.000 0.000 0.000
Dy 0.141 0.141 0.141
Dy 0.859 0.859 0.859
Ga 0.332 0.332 0.332
Ga 0.668 0.668 0.668
Ni 0.085 0.581 0.581
Ni 0.419 0.419 0.915
Ni 0.419 0.915 0.419
Ni 0.500 0.500 0.500
Ni 0.581 0.085 0.581
Ni 0.581 0.581 0.085
Ni 0.915 0.419 0.419

Top 12 peaks for 10° ≤ 2θ ≤ 90°, in order of falling intensity:
| d_spacing | I (rel.) |
| --- | --- |
| 2.159 | 100 |
| 2.574 | 57 |
| 2.704 | 44 |
| 2.219 | 37 |
| 2.475 | 31 |
| 1.392 | 24 |
| 1.287 | 22 |
| 1.351 | 22 |
| 1.510 | 15 |
| 2.019 | 14 |
| 1.947 | 13 |
| 1.466 | 12 |


No. 2
Structure and theoretical X-ray powder pattern of DyGa2Ni3 (a PBE-relaxed structure; a wavelength of 1.5418 Å).
Intensities are scaled so that the largest is 100.

Structural model:
Unit cell a=8.777 b=8.777 c=4.089 alpha=90.00 beta=90.00 gamma=120.00
Element x y z (fractional)
Dy 0.000 0.000 0.000
Dy 0.333 0.667 0.500
Dy 0.667 0.333 0.500
Ga 0.000 0.272 0.500
Ga 0.000 0.522 0.000
Ga 0.272 0.000 0.500
Ga 0.478 0.478 0.000
Ga 0.522 0.000 0.000
Ga 0.728 0.728 0.500
Ni 0.000 0.709 0.500
Ni 0.173 0.374 0.000
Ni 0.202 0.827 0.000
Ni 0.291 0.291 0.500
Ni 0.374 0.173 0.000
Ni 0.626 0.798 0.000
Ni 0.709 0.000 0.500
Ni 0.798 0.626 0.000
Ni 0.827 0.202 0.000

Top 12 peaks for 10° ≤ 2θ ≤ 90°, in order of falling intensity:
| d_spacing | I (rel.) |
| --- | --- |
| 2.351 | 100 |
| 2.784 | 72 |
| 2.154 | 66 |
| 2.194 | 57 |
| 2.045 | 50 |
| 2.534 | 40 |
| 1.496 | 33 |
| 1.934 | 28 |
| 1.591 | 19 |
| 3.601 | 18 |
| 1.425 | 17 |
| 1.295 | 16 |


No. 3
Structure and theoretical X-ray powder pattern of Dy2Ga5Ni5 (a PBE-relaxed structure; a wavelength of 1.5418 Å).
Intensities are scaled so that the largest is 100.

Structural model:
Unit cell a=8.872 b=4.054 c=15.549 alpha=90.00 beta=90.50 gamma=90.00
Element x y z (fractional)
Dy 0.000 0.000 0.000
Dy 0.003 0.500 0.323
Dy 0.007 0.500 0.659
Dy 0.486 0.000 0.492
Dy 0.503 0.500 0.157
Dy 0.510 0.500 0.830
Ga 0.016 0.000 0.493
Ga 0.154 0.500 0.847
Ga 0.245 0.000 0.231
Ga 0.257 0.000 0.749
Ga 0.283 0.500 0.000
Ga 0.349 0.500 0.355
Ga 0.355 0.500 0.629
Ga 0.523 0.000 0.991
Ga 0.644 0.500 0.347
Ga 0.650 0.500 0.640
Ga 0.744 0.000 0.249
Ga 0.757 0.000 0.739
Ga 0.798 0.500 0.493
Ga 0.861 0.500 0.860
Ga 0.866 0.500 0.130
Ni 0.003 0.000 0.812
Ni 0.148 0.500 0.140
Ni 0.204 0.500 0.492
Ni 0.220 0.000 0.391
Ni 0.224 0.000 0.593
Ni 0.284 0.000 0.907
Ni 0.292 0.000 0.080
Ni 0.488 0.000 0.308
Ni 0.500 0.000 0.677
Ni 0.709 0.500 0.995
Ni 0.727 0.000 0.094
Ni 0.733 0.000 0.896
Ni 0.776 0.000 0.406
Ni 0.779 0.000 0.581
Ni 0.989 0.000 0.181

Top 12 peaks for 10° ≤ 2θ ≤ 90°, in order of falling intensity:
| d_spacing | I (rel.) |
| --- | --- |
| 2.027 | 100 |
| 2.802 | 97 |
| 2.362 | 93 |
| 2.380 | 61 |
| 2.164 | 56 |
| 2.176 | 53 |
| 2.183 | 47 |
| 2.787 | 44 |
| 2.246 | 43 |
| 3.590 | 42 |
| 2.229 | 41 |
| 2.218 | 39 |